[1]
Starting from a DFT-relaxed cell (GGA-PBE, Alexandria), the XRD peak list of La2MgPdO5 was calculated for Cu Kα (weighted mean of Kα1 and Kα2).
Kinematic intensities with the Lorentz-polarization factor, no thermal factor.

Largest 6 diffraction maxima, by intensity, 2θ from 10° to 90°:
2θ 30.4, I 100.0; 2θ 33.2, I 89.8; 2θ 43.1, I 64.4; 2θ 18.4, I 53.0; 2θ 44.8, I 46.4; 2θ 30.9, I 41.9

```
La2MgPdO5
1.0
6.825 0.000 0.000
0.000 6.825 0.000
0.000 0.000 5.789
La Mg Pd O
4 2 2 10
Direct
0.173 0.327 0.000 La
0.327 0.827 0.000 La
0.673 0.173 0.000 La
0.827 0.673 0.000 La
0.000 0.000 0.500 Mg
0.500 0.500 0.500 Mg
0.000 0.500 0.500 Pd
0.500 0.000 0.500 Pd
0.000 0.000 0.000 O
0.149 0.649 0.261 O
0.149 0.649 0.739 O
0.351 0.149 0.261 O
0.351 0.149 0.739 O
0.500 0.500 0.000 O
0.649 0.851 0.261 O
0.649 0.851 0.739 O
0.851 0.351 0.261 O
0.851 0.351 0.739 O
```



[2]
Starting from a DFT-relaxed cell (GGA-PBE, Alexandria), the XRD peak list of TbSnCl5 was calculated for Cu Kα (weighted mean of Kα1 and Kα2).
Kinematic intensities with the Lorentz-polarization factor, no thermal factor.

Largest 6 diffraction maxima, by intensity, 2θ from 10° to 90°:
2θ 18.5, I 100.0; 2θ 28.2, I 67.6; 2θ 20.2, I 64.9; 2θ 33.0, I 39.2; 2θ 13.3, I 36.9; 2θ 13.0, I 36.6

```
TbSnCl5
1.0
5.143 -5.088 0.000
5.143 5.088 0.000
-4.633 0.000 9.288
Tb Sn Cl
2 2 10
Direct
0.000 0.500 0.000 Tb
0.500 0.000 0.500 Tb
0.087 0.913 0.750 Sn
0.913 0.087 0.250 Sn
0.185 0.617 0.850 Cl
0.221 0.234 0.519 Cl
0.234 0.221 0.019 Cl
0.239 0.761 0.250 Cl
0.383 0.815 0.650 Cl
0.617 0.185 0.350 Cl
0.761 0.239 0.750 Cl
0.766 0.779 0.981 Cl
0.779 0.766 0.481 Cl
0.815 0.383 0.150 Cl
```



[3]
Starting from a DFT-relaxed cell (GGA-PBE, Alexandria), the XRD peak list of CaPm3Dy2Bi6 was calculated for Cu Kα (weighted mean of Kα1 and Kα2).
Kinematic intensities with the Lorentz-polarization factor, no thermal factor.

Largest 6 diffraction maxima, by intensity, 2θ from 10° to 90°:
2θ 27.7, I 100.0; 2θ 39.5, I 39.3; 2θ 39.7, I 39.0; 2θ 64.8, I 18.6; 2θ 49.0, I 14.3; 2θ 57.2, I 13.5

```
CaPm3Dy2Bi6
1.0
9.916 -2.274 0.000
9.916 2.274 0.000
-2.043 0.000 8.873
Ca Pm Dy Bi
1 3 2 6
Direct
0.000 0.000 0.000 Ca
0.000 0.000 0.500 Pm
0.335 0.335 0.165 Pm
0.665 0.665 0.835 Pm
0.333 0.333 0.667 Dy
0.667 0.667 0.333 Dy
0.168 0.168 0.090 Bi
0.168 0.168 0.580 Bi
0.498 0.498 0.747 Bi
0.502 0.502 0.253 Bi
0.832 0.832 0.420 Bi
0.832 0.832 0.910 Bi
```



[4]
Starting from a DFT-relaxed cell (GGA-PBE, Alexandria), the XRD peak list of Y2BiI was calculated for Cu Kα (weighted mean of Kα1 and Kα2).
Kinematic intensities with the Lorentz-polarization factor, no thermal factor.

Largest 6 diffraction maxima, by intensity, 2θ from 10° to 90°:
2θ 30.5, I 100.0; 2θ 42.3, I 50.3; 2θ 35.7, I 47.5; 2θ 25.2, I 43.6; 2θ 63.8, I 26.3; 2θ 53.1, I 21.1

```
Y2BiI
1.0
4.270 0.000 0.000
-2.135 3.698 0.000
0.000 0.000 24.003
Y Bi I
6 3 3
Direct
0.000 0.000 0.000 Y
0.000 0.000 0.182 Y
0.333 0.667 0.667 Y
0.333 0.667 0.849 Y
0.667 0.333 0.333 Y
0.667 0.333 0.516 Y
0.000 0.000 0.592 Bi
0.333 0.667 0.259 Bi
0.667 0.333 0.925 Bi
0.000 0.000 0.423 I
0.333 0.667 0.090 I
0.667 0.333 0.756 I
```